# 1
The following is a theoretical XRD peak list of TbNd4S7. It was derived from DFT lattice parameters and positions (GGA-PBE), using a wavelength of 1.5418 Å.

Structure:
```
12
Lattice="6.6506 -1.9691 0.0000 6.6506 1.9691 0.0000 -3.0927 0.0000 11.4830" Properties=species:S:1:pos:R:3 pbc="T T T"
Tb 0.0000 0.0000 0.0000
Nd 0.1873 0.0000 4.8201
Nd 0.3579 0.0000 9.7108
Nd 3.6002 0.0000 7.0472
Nd 10.0769 0.0000 2.6438
S -1.0310 0.0000 7.3156
S 1.4004 0.0000 2.3149
S 4.8145 0.0000 0.7967
S 4.8569 0.0000 4.2534
S 5.2266 0.0000 10.6165
S 8.8065 0.0000 5.4295
S 8.9591 0.0000 8.9335
```

Principal peaks in the range 2θ = 10–80°, low angle first:
2θ (°), Rel. int.
23.31, 1000
23.77, 892
26.82, 438
32.05, 674
33.18, 432
45.84, 439



# 2
The following is a theoretical XRD peak list of CaPm2Sn3Pd6. It was derived from DFT lattice parameters and positions (GGA-PBE), using a wavelength of 1.5418 Å.

Structure:
```
12
Lattice="4.1815 0.0000 0.0000 0.0000 4.1815 0.0000 0.0000 0.0000 15.3420" Properties=species:S:1:pos:R:3 pbc="T T T"
Ca 0.0000 0.0000 0.0000
Pm 0.0000 0.0000 5.4667
Pm 0.0000 0.0000 9.8753
Sn 2.0908 2.0908 1.5294
Sn 2.0908 2.0908 7.6710
Sn 2.0908 2.0908 13.8126
Pd 0.0000 2.0908 3.1705
Pd 0.0000 2.0908 12.1715
Pd 2.0908 0.0000 3.1705
Pd 2.0908 0.0000 12.1715
Pd 2.0908 2.0908 5.0597
Pd 2.0908 2.0908 10.2823
```

Principal peaks in the range 2θ = 10–80°, low angle first:
2θ (°), Rel. int.
11.54, 727
35.06, 900
36.32, 633
38.44, 526
42.46, 777
43.27, 1000



# 3
The following is a theoretical XRD peak list of Cs2LiIrC6N6. It was derived from DFT lattice parameters and positions (GGA-PBE), using a wavelength of 1.5418 Å.

Structure:
```
16
Lattice="0.0000 5.4316 5.4316 5.4316 0.0000 5.4316 5.4316 5.4316 0.0000" Properties=species:S:1:pos:R:3 pbc="T T T"
Cs 2.7158 2.7158 2.7158
Cs 8.1473 8.1473 8.1473
Li 0.0000 0.0000 0.0000
Ir 5.4316 5.4316 5.4316
C 5.4316 5.4316 3.4112
C 5.4316 3.4112 5.4316
C 7.4519 5.4316 5.4316
C 3.4112 5.4316 5.4316
C 5.4316 7.4519 5.4316
C 5.4316 5.4316 7.4519
N 5.4316 5.4316 2.2368
N 5.4316 2.2368 5.4316
N 8.6263 5.4316 5.4316
N 2.2368 5.4316 5.4316
N 5.4316 8.6263 5.4316
N 5.4316 5.4316 8.6263
```

Principal peaks in the range 2θ = 10–80°, low angle first:
2θ (°), Rel. int.
14.12, 402
23.16, 1000
32.98, 362
40.69, 393
53.34, 263
64.16, 267



# 4
The following is a theoretical XRD peak list of BaYSb2Au2. It was derived from DFT lattice parameters and positions (GGA-PBE), using a wavelength of 1.5418 Å.

Structure:
```
6
Lattice="4.7349 0.0000 0.0000 -2.3674 4.1005 0.0000 0.0000 0.0000 8.7051" Properties=species:S:1:pos:R:3 pbc="T T T"
Ba 0.0000 0.0000 0.0000
Y 0.0000 0.0000 4.3525
Sb 0.0000 2.7337 6.4001
Sb 2.3674 1.3668 2.3050
Au 0.0000 2.7337 2.7823
Au 2.3674 1.3668 5.9227
```

Principal peaks in the range 2θ = 10–80°, low angle first:
2θ (°), Rel. int.
29.94, 1000
38.01, 817
49.12, 253
49.70, 221
57.51, 207
63.74, 231